Entry 1:
Nd2Sm2B2Br5: calculated X-ray diffraction stick pattern (λ = 1.5418 Å (Cu Kα)), based on a GGA-PBE-relaxed structure.
Peak positions follow from Bragg's law for the DFT cell and can differ from measured ones.

Peak list (8 most intense, 15 to 90 degrees two-theta, in order of rising 2θ)
2θ/deg, I (rel.), hkl
15.7, 19, 2 0 1
27.1, 100, 6 0 0
29.6, 19, 3 1 1
31.1, 98, 1 1 -2
41.3, 40, 7 1 -2
42.1, 42, 5 1 2
45.5, 19, 0 2 0
53.7, 22, 6 2 0

Structure:
Unit cell a=20.310 b=3.989 c=8.305 alpha=90.00 beta=103.32 gamma=90.00
Space group C2/m (No. 12)
Inequivalent atoms, fractional coordinates:
Nd (0.001, 0.000, 0.206) x4
Sm (0.160, 0.500, 0.101) x4
B (0.040, 0.500, 0.023) x4
Br (0.000, 0.500, 0.500) x2
Br (0.162, 0.000, 0.357) x4
Br (0.171, 0.000, 0.844) x4

***

Entry 2:
Nd2Y2BBr5: calculated X-ray diffraction stick pattern (λ = 1.5418 Å (Cu Kα)), based on a GGA-PBE-relaxed structure.
Peak positions follow from Bragg's law for the DFT cell and can differ from measured ones.

Peak list (8 most intense, 15 to 90 degrees two-theta, in order of rising 2θ)
2θ/deg, I (rel.), hkl
30.3, 58, 6 0 0
30.7, 100, 1 1 -2
33.8, 28, 5 1 0
42.4, 16, 2 0 -4
43.4, 30, 5 1 2
43.9, 30, 7 1 -2
45.4, 18, 0 2 0
55.5, 19, 6 2 0

Structure:
Unit cell a=18.159 b=3.996 c=8.532 alpha=90.00 beta=102.71 gamma=90.00
Space group C2/m (No. 12)
Inequivalent atoms, fractional coordinates:
Nd (0.001, 0.000, 0.288) x4
Y (0.142, 0.500, 0.574) x4
B (0.000, 0.500, 0.500) x2
Br (0.000, 0.500, 0.000) x2
Br (0.169, 0.000, 0.824) x4
Br (0.175, 0.000, 0.346) x4

***

Entry 3:
PrB2BrO4: calculated X-ray diffraction stick pattern (λ = 1.5418 Å (Cu Kα)), based on a GGA-PBE-relaxed structure.
Peak positions follow from Bragg's law for the DFT cell and can differ from measured ones.

Peak list (8 most intense, 15 to 90 degrees two-theta, in order of rising 2θ)
2θ/deg, I (rel.), hkl
24.5, 83, 0 1 2
25.1, 93, 1 0 1
25.6, 88, 1 1 -1
33.2, 90, 0 0 3
33.6, 99, 1 2 -1
33.9, 100, 0 2 2
42.9, 96, 2 1 0
55.8, 67, -2 1 2

Structure:
Unit cell a=4.217 b=6.590 c=8.180 alpha=82.17 beta=89.08 gamma=71.96
Space group P-1 (No. 2)
Inequivalent atoms, fractional coordinates:
Pr (0.216, 0.031, 0.216) x2
B (0.169, 0.349, 0.855) x2
B (0.435, 0.436, 0.190) x2
Br (0.139, 0.218, 0.540) x2
O (0.096, 0.462, 0.171) x2
O (0.165, 0.151, 0.921) x2
O (0.365, 0.766, 0.794) x2
O (0.484, 0.373, 0.822) x2

***

Entry 4:
Pr2Y2BBr5: calculated X-ray diffraction stick pattern (λ = 1.5418 Å (Cu Kα)), based on a GGA-PBE-relaxed structure.
Peak positions follow from Bragg's law for the DFT cell and can differ from measured ones.

Peak list (8 most intense, 15 to 90 degrees two-theta, in order of rising 2θ)
2θ/deg, I (rel.), hkl
30.2, 57, 6 0 0
30.4, 100, 1 1 -2
33.7, 28, 5 1 0
41.9, 16, 2 0 -4
43.1, 30, 5 1 2
43.7, 30, 7 1 -2
45.2, 18, 0 2 0
55.3, 16, 6 2 0

Structure:
Unit cell a=18.206 b=4.013 c=8.621 alpha=90.00 beta=102.69 gamma=90.00
Space group C2/m (No. 12)
Inequivalent atoms, fractional coordinates:
Pr (0.001, 0.000, 0.287) x4
Y (0.142, 0.500, 0.573) x4
B (0.000, 0.500, 0.500) x2
Br (0.000, 0.500, 0.000) x2
Br (0.170, 0.000, 0.820) x4
Br (0.176, 0.000, 0.350) x4

***

Entry 5:
Sm2Sc2BBr5: calculated X-ray diffraction stick pattern (λ = 1.5418 Å (Cu Kα)), based on a GGA-PBE-relaxed structure.
Peak positions follow from Bragg's law for the DFT cell and can differ from measured ones.

Peak list (8 most intense, 15 to 90 degrees two-theta, in order of rising 2θ)
2θ/deg, I (rel.), hkl
23.7, 33, 1 1 0
30.9, 51, 6 0 0
31.4, 100, 1 1 -2
33.0, 17, 4 0 2
34.8, 33, 5 1 0
44.3, 31, 5 1 2
44.9, 31, 7 1 -2
47.3, 20, 0 2 0

Structure:
Unit cell a=17.822 b=3.847 c=8.453 alpha=90.00 beta=102.68 gamma=90.00
Space group C2/m (No. 12)
Inequivalent atoms, fractional coordinates:
Sm (0.001, 0.000, 0.289) x4
Sc (0.135, 0.500, 0.567) x4
B (0.000, 0.500, 0.500) x2
Br (0.000, 0.500, 0.000) x2
Br (0.169, 0.000, 0.806) x4
Br (0.173, 0.000, 0.357) x4

***

Entry 6:
CdB2C2: calculated X-ray diffraction stick pattern (λ = 1.5418 Å (Cu Kα)), based on a GGA-PBE-relaxed structure.
Peak positions follow from Bragg's law for the DFT cell and can differ from measured ones.

Peak list (8 most intense, 15 to 90 degrees two-theta, in order of rising 2θ)
2θ/deg, I (rel.), hkl
20.9, 49, 0 0 2
24.8, 93, 2 2 0
28.2, 100, 3 1 1
31.3, 65, 1 3 1
32.7, 97, 2 2 2
43.7, 42, 4 2 2
43.8, 55, 0 4 2
49.9, 38, 6 0 0

Structure:
Unit cell a=10.971 b=9.466 c=8.484 alpha=90.00 beta=90.00 gamma=90.00
Space group Cmce (No. 64)
Inequivalent atoms, fractional coordinates:
Cd (0.000, 0.207, 0.008) x8
Cd (0.177, 0.000, 0.500) x8
B (0.000, 0.085, 0.263) x8
B (0.126, 0.163, 0.760) x16
B (0.250, 0.090, 0.250) x8
C (0.000, 0.082, 0.754) x8
C (0.125, 0.169, 0.266) x16
C (0.250, 0.080, 0.750) x8

***

Entry 7:
CuBH8C8N4ClF4: calculated X-ray diffraction stick pattern (λ = 1.5418 Å (Cu Kα)), based on a GGA-PBE-relaxed structure.
Peak positions follow from Bragg's law for the DFT cell and can differ from measured ones.

Peak list (8 most intense, 15 to 90 degrees two-theta, in order of rising 2θ)
2θ/deg, I (rel.), hkl
18.4, 27, 2 0 0
20.5, 100, 1 1 1
26.2, 77, 2 2 0
34.7, 43, 1 1 2
37.2, 32, 2 0 2
37.3, 38, 3 2 1
41.9, 27, 4 2 0
48.2, 24, 5 1 0

Structure:
Unit cell a=9.634 b=9.634 c=5.595 alpha=90.00 beta=90.00 gamma=90.00
Space group P4/nbm (No. 125, origin choice 2)
Inequivalent atoms, fractional coordinates:
Cu (0.250, 0.250, 0.000) x2
B (0.250, 0.750, 0.500) x2
H (0.014, 0.171, 0.318) x16
C (0.007, 0.095, 0.176) x16
N (0.101, 0.101, 0.000) x8
Cl (0.250, 0.250, 0.500) x2
F (0.165, 0.665, 0.645) x8

***

Entry 8:
DyErCo2B2C2: calculated X-ray diffraction stick pattern (λ = 1.5418 Å (Cu Kα)), based on a GGA-PBE-relaxed structure.
Peak positions follow from Bragg's law for the DFT cell and can differ from measured ones.

Peak list (8 most intense, 15 to 90 degrees two-theta, in order of rising 2θ)
2θ/deg, I (rel.), hkl
27.9, 100, 1 0 1
34.7, 72, 1 0 2
35.3, 46, 0 0 3
38.0, 61, 1 1 1
43.4, 43, 1 1 2
51.9, 34, 2 0 0
59.9, 26, 2 1 1
64.3, 31, 2 0 3

Structure:
Unit cell a=3.525 b=3.525 c=7.626 alpha=90.00 beta=90.00 gamma=90.00
Space group P4mm (No. 99)
Inequivalent atoms, fractional coordinates:
Dy (0.000, 0.000, 0.000) x1
Er (0.500, 0.500, 0.332) x1
Co (0.000, 0.500, 0.666) x2
B (0.000, 0.000, 0.516) x1
B (0.500, 0.500, 0.817) x1
C (0.000, 0.000, 0.318) x1
C (0.500, 0.500, 0.015) x1

***

Entry 9:
Sm2DyCo2B2C3: calculated X-ray diffraction stick pattern (λ = 1.5418 Å (Cu Kα)), based on a GGA-PBE-relaxed structure.
Peak positions follow from Bragg's law for the DFT cell and can differ from measured ones.

Peak list (8 most intense, 15 to 90 degrees two-theta, in order of rising 2θ)
2θ/deg, I (rel.), hkl
27.9, 100, 1 0 3
33.0, 75, 1 0 5
34.9, 46, 0 0 8
35.1, 37, 1 1 0
36.2, 36, 1 1 2
50.5, 34, 2 0 0
58.7, 27, 2 1 3
62.9, 32, 2 0 8

Structure:
Unit cell a=3.614 b=3.614 c=20.541 alpha=90.00 beta=90.00 gamma=90.00
Space group I4/mmm (No. 139)
Inequivalent atoms, fractional coordinates:
Sm (0.000, 0.000, 0.125) x4
Dy (0.000, 0.000, 0.500) x2
Co (0.000, 0.500, 0.250) x4
B (0.000, 0.000, 0.304) x4
C (0.000, 0.000, 0.000) x2
C (0.000, 0.000, 0.378) x4

***

Entry 10:
TbDy2Co2B2C3: calculated X-ray diffraction stick pattern (λ = 1.5418 Å (Cu Kα)), based on a GGA-PBE-relaxed structure.
Peak positions follow from Bragg's law for the DFT cell and can differ from measured ones.

Peak list (8 most intense, 15 to 90 degrees two-theta, in order of rising 2θ)
2θ/deg, I (rel.), hkl
28.3, 100, 1 0 3
33.3, 79, 1 0 5
34.9, 48, 0 0 8
35.8, 37, 1 1 0
36.9, 34, 1 1 2
40.0, 30, 1 1 4
51.5, 34, 2 0 0
63.7, 32, 2 0 8

Structure:
Unit cell a=3.550 b=3.550 c=20.557 alpha=90.00 beta=90.00 gamma=90.00
Space group I4/mmm (No. 139)
Inequivalent atoms, fractional coordinates:
Tb (0.000, 0.000, 0.000) x2
Dy (0.000, 0.000, 0.375) x4
Co (0.000, 0.500, 0.250) x4
B (0.000, 0.000, 0.195) x4
C (0.000, 0.000, 0.122) x4
C (0.000, 0.000, 0.500) x2

***

Entry 11:
DyYCo2B2C2: calculated X-ray diffraction stick pattern (λ = 1.5418 Å (Cu Kα)), based on a GGA-PBE-relaxed structure.
Peak positions follow from Bragg's law for the DFT cell and can differ from measured ones.

Peak list (8 most intense, 15 to 90 degrees two-theta, in order of rising 2θ)
2θ/deg, I (rel.), hkl
27.7, 100, 1 0 1
34.5, 75, 1 0 2
35.2, 55, 0 0 3
37.7, 85, 1 1 1
43.1, 61, 1 1 2
51.5, 42, 2 0 0
63.5, 26, 2 1 2
63.9, 37, 2 0 3

Structure:
Unit cell a=3.548 b=3.548 c=7.652 alpha=90.00 beta=90.00 gamma=90.00
Space group P4mm (No. 99)
Inequivalent atoms, fractional coordinates:
Dy (0.000, 0.000, 0.000) x1
Y (0.500, 0.500, 0.333) x1
Co (0.000, 0.500, 0.667) x2
B (0.000, 0.000, 0.517) x1
B (0.500, 0.500, 0.816) x1
C (0.000, 0.000, 0.320) x1
C (0.500, 0.500, 0.013) x1

***

Entry 12:
Er2TmCo2B2C3: calculated X-ray diffraction stick pattern (λ = 1.5418 Å (Cu Kα)), based on a GGA-PBE-relaxed structure.
Peak positions follow from Bragg's law for the DFT cell and can differ from measured ones.

Peak list (8 most intense, 15 to 90 degrees two-theta, in order of rising 2θ)
2θ/deg, I (rel.), hkl
28.7, 100, 1 0 3
33.8, 87, 1 0 5
35.3, 48, 0 0 8
36.3, 39, 1 1 0
37.4, 36, 1 1 2
52.2, 34, 2 0 0
63.7, 29, 2 1 5
64.6, 32, 2 0 8

Structure:
Unit cell a=3.502 b=3.502 c=20.358 alpha=90.00 beta=90.00 gamma=90.00
Space group I4/mmm (No. 139)
Inequivalent atoms, fractional coordinates:
Er (0.000, 0.000, 0.123) x4
Tm (0.000, 0.000, 0.500) x2
Co (0.000, 0.500, 0.250) x4
B (0.000, 0.000, 0.307) x4
C (0.000, 0.000, 0.000) x2
C (0.000, 0.000, 0.380) x4